[1]
Sr2LaNbO6: computed powder diffractogram (Cu Ka), based on DFT lattice parameters and positions (GGA-PBE).
Neutral-atom scattering factors, no anomalous dispersion.

Most intense lines, 2θ from 10° to 90°, by angle:
2theta  intensity
20.7  6.0
29.5  100.0
34.7  2.0
42.2  28.4
47.5  2.2
52.3  45.6
61.2  16.3
69.4  18.4
77.1  5.2
84.6  22.6

Cell and atoms:
Unit cell a=8.5682 b=8.5682 c=8.5682 alpha=90.00 beta=90.00 gamma=90.00
Fractional positions:
Sr 0.2500 0.2500 0.2500
Sr 0.2500 0.2500 0.7500
Sr 0.2500 0.7500 0.2500
Sr 0.2500 0.7500 0.7500
Sr 0.7500 0.2500 0.2500
Sr 0.7500 0.2500 0.7500
Sr 0.7500 0.7500 0.2500
Sr 0.7500 0.7500 0.7500
La 0.0000 0.0000 0.0000
La 0.0000 0.5000 0.5000
La 0.5000 0.0000 0.5000
La 0.5000 0.5000 0.0000
Nb 0.0000 0.0000 0.5000
Nb 0.0000 0.5000 0.0000
Nb 0.5000 0.0000 0.0000
Nb 0.5000 0.5000 0.5000
O 0.0383 0.5479 0.7714
O 0.0383 0.9521 0.7286
O 0.0479 0.2286 0.5383
O 0.0479 0.2714 0.9617
O 0.2286 0.5383 0.0479
O 0.2286 0.9617 0.4521
O 0.2714 0.5383 0.4521
O 0.2714 0.9617 0.0479
O 0.4521 0.2286 0.9617
O 0.4521 0.2714 0.5383
O 0.4617 0.5479 0.7286
O 0.4617 0.9521 0.7714
O 0.5383 0.0479 0.2286
O 0.5383 0.4521 0.2714
O 0.5479 0.7286 0.4617
O 0.5479 0.7714 0.0383
O 0.7286 0.0383 0.9521
O 0.7286 0.4617 0.5479
O 0.7714 0.0383 0.5479
O 0.7714 0.4617 0.9521
O 0.9521 0.7286 0.0383
O 0.9521 0.7714 0.4617
O 0.9617 0.0479 0.2714
O 0.9617 0.4521 0.2286

[2]
Sr2LaNbO6: computed powder diffractogram (Cu Ka), based on DFT lattice parameters and positions (GGA-PBE).
Neutral-atom scattering factors, no anomalous dispersion.

Most intense lines, 2θ from 10° to 90°, by angle:
2theta  intensity
20.4  7.6
29.1  100.0
34.2  1.8
41.6  33.2
46.8  2.6
51.5  40.3
60.3  20.4
68.3  18.3
75.9  6.6
83.2  21.3

Cell and atoms:
Unit cell a=6.1430 b=6.1430 c=6.1430 alpha=60.00 beta=60.00 gamma=60.00
Fractional positions:
Sr 0.2500 0.2500 0.2500
Sr 0.7500 0.7500 0.7500
La 0.0000 0.0000 0.0000
Nb 0.5000 0.5000 0.5000
O 0.2686 0.2686 0.7314
O 0.2686 0.7314 0.2686
O 0.2686 0.7314 0.7314
O 0.7314 0.2686 0.2686
O 0.7314 0.2686 0.7314
O 0.7314 0.7314 0.2686

[3]
La3NbSb5: computed powder diffractogram (Cu Ka), based on DFT lattice parameters and positions (GGA-PBE).
Neutral-atom scattering factors, no anomalous dispersion.

Most intense lines, 2θ from 10° to 90°, by angle:
2theta  intensity
31.9  80.4
32.4  82.5
34.0  100.0
41.8  14.7
47.6  29.1
50.1  13.3
52.3  19.6
58.4  12.1
58.8  12.5
68.3  19.6

Cell and atoms:
Unit cell a=9.5741 b=9.5741 c=6.3249 alpha=90.00 beta=90.00 gamma=120.00
Fractional positions:
La 0.0000 0.3810 0.2500
La 0.0000 0.6190 0.7500
La 0.3810 0.0000 0.2500
La 0.3810 0.3810 0.7500
La 0.6190 0.0000 0.7500
La 0.6190 0.6190 0.2500
Nb 0.0000 0.0000 0.0000
Nb 0.0000 0.0000 0.5000
Sb 0.0000 0.2558 0.7500
Sb 0.0000 0.7442 0.2500
Sb 0.2558 0.0000 0.7500
Sb 0.2558 0.2558 0.2500
Sb 0.3333 0.6667 0.0000
Sb 0.3333 0.6667 0.5000
Sb 0.6667 0.3333 0.0000
Sb 0.6667 0.3333 0.5000
Sb 0.7442 0.0000 0.2500
Sb 0.7442 0.7442 0.7500

[4]
La3Nd: computed powder diffractogram (Cu Ka), based on DFT lattice parameters and positions (GGA-PBE).
Neutral-atom scattering factors, no anomalous dispersion.

Most intense lines, 2θ from 10° to 90°, by angle:
2theta  intensity
29.3  100.0
33.8  17.2
34.1  33.6
48.8  24.4
49.0  12.1
57.7  14.7
58.1  28.8
60.8  12.5
79.0  11.7
79.4  5.8

Cell and atoms:
Unit cell a=6.4786 b=6.4786 c=6.4786 alpha=132.10 beta=132.10 gamma=70.07
Fractional positions:
La 0.0000 0.0000 0.0000
La 0.2500 0.7500 0.5000
La 0.7500 0.2500 0.5000
Nd 0.5000 0.5000 0.0000

[5]
LaNdNi10: computed powder diffractogram (Cu Ka), based on DFT lattice parameters and positions (GGA-PBE).
Neutral-atom scattering factors, no anomalous dispersion.

Most intense lines, 2θ from 10° to 90°, by angle:
2theta  intensity
30.7  44.5
36.3  30.6
42.1  23.2
42.2  11.5
43.1  100.0
45.8  26.6
59.8  13.9
64.0  19.2
69.9  14.8
82.8  13.7

Cell and atoms:
Unit cell a=3.9613 b=4.9629 c=8.5680 alpha=90.00 beta=90.00 gamma=90.00
Fractional positions:
La 0.0000 0.0000 0.0000
Nd 0.0000 0.5000 0.5000
Ni 0.0000 0.0000 0.3336
Ni 0.0000 0.0000 0.6664
Ni 0.0000 0.5000 0.1672
Ni 0.0000 0.5000 0.8328
Ni 0.5000 0.0000 0.5000
Ni 0.5000 0.2515 0.2524
Ni 0.5000 0.2515 0.7476
Ni 0.5000 0.5000 0.0000
Ni 0.5000 0.7485 0.2524
Ni 0.5000 0.7485 0.7476

[6]
La4Nd4S4O7: computed powder diffractogram (Cu Ka), based on DFT lattice parameters and positions (GGA-PBE).
Neutral-atom scattering factors, no anomalous dispersion.

Most intense lines, 2θ from 10° to 90°, by angle:
2theta  intensity
25.5  18.5
25.9  21.3
28.7  100.0
36.7  29.9
45.0  31.2
47.4  24.8
52.6  18.4
54.2  16.9
73.0  13.8
84.7  8.8

Cell and atoms:
Unit cell a=7.9825 b=7.9825 c=9.8091 alpha=127.33 beta=127.33 gamma=60.63
Fractional positions:
La 0.0000 0.0000 0.0000
La 0.9998 0.5190 0.5184
La 0.5061 0.5061 0.0123
La 0.5190 0.9998 0.5184
Nd 0.3933 0.8920 0.8457
Nd 0.3983 0.3983 0.3458
Nd 0.8920 0.3933 0.8457
Nd 0.8927 0.8927 0.3448
S 0.1964 0.1964 0.6769
S 0.1963 0.7009 0.1791
S 0.6940 0.6940 0.6803
S 0.7009 0.1963 0.1791
O 0.1805 0.6739 0.5087
O 0.1814 0.1814 0.0180
O 0.2220 0.7184 0.8463
O 0.6739 0.1805 0.5087
O 0.6829 0.6829 0.0134
O 0.7184 0.2220 0.8463
O 0.7186 0.7186 0.3433

[7]
LaNi2: computed powder diffractogram (Cu Ka), based on DFT lattice parameters and positions (GGA-PBE).
Neutral-atom scattering factors, no anomalous dispersion.

Most intense lines, 2θ from 10° to 90°, by angle:
2theta  intensity
20.9  6.7
34.5  56.4
40.7  100.0
42.6  18.8
61.8  20.7
66.0  30.4
72.8  22.9
83.1  9.0
86.9  10.7
88.1  6.0

Cell and atoms:
Unit cell a=5.1983 b=5.1983 c=5.1983 alpha=60.00 beta=60.00 gamma=60.00
Fractional positions:
La 0.1250 0.1250 0.1250
La 0.8750 0.8750 0.8750
Ni 0.0000 0.5000 0.5000
Ni 0.5000 0.0000 0.5000
Ni 0.5000 0.5000 0.0000
Ni 0.5000 0.5000 0.5000